1.
Structure and computed X-ray diffraction stick pattern of In2Bi3Pb8 (the PBE geometry in Alexandria; Cu Ka).

Atomic structure:
```
data_In2Bi3Pb8
_space_group_name_H-M_alt 'R -3 m'
_space_group_IT_number 166
_space_group_name_Hall '-R 3 2"'
_cell_length_a 6.5750
_cell_length_b 6.5750
_cell_length_c 35.5132
_cell_angle_alpha 90.00
_cell_angle_beta 90.00
_cell_angle_gamma 120.00
loop_
_atom_site_label
_atom_site_fract_x
_atom_site_fract_y
_atom_site_fract_z
In1 0.0000 0.0000 0.1502
Bi1 0.0000 0.0000 0.3289
Bi2 0.0000 0.0000 0.5000
Pb1 0.0000 0.0000 0.2357
Pb2 0.9996 0.4998 0.2609
```

Largest 12 diffraction maxima, by angle, 5° ≤ 2θ ≤ 70°:
two_theta  I/Imax  h k l
14.97  19  0 0 6
27.12  24  1 1 0
30.20  24  0 0 12
31.12  32  1 1 6
31.84  100  2 0 2
33.04  40  0 2 4
37.53  26  2 0 8
40.61  20  0 2 10
51.00  20  1 2 11
55.94  29  2 2 0
64.89  17  2 2 12
65.83  18  0 4 2

=====

2.
Structure and computed X-ray diffraction stick pattern of In3Bi3Pb2 (the PBE geometry in Alexandria; Cu Ka).

Atomic structure:
```
data_In3Bi3Pb2
_space_group_name_H-M_alt 'P 1 21/m 1'
_space_group_IT_number 11
_cell_length_a 5.636
_cell_length_b 14.431
_cell_length_c 7.046
_cell_angle_alpha 90.00
_cell_angle_beta 113.07
_cell_angle_gamma 90.00
loop_
_space_group_symop_operation_xyz
'x,y,z'
'-x,-y,-z'
'-x,y+1/2,-z'
'x,-y+1/2,z'
loop_
_atom_site_label
_atom_site_fract_x
_atom_site_fract_y
_atom_site_fract_z
In1 0.055 0.104 0.113
In2 0.243 0.250 0.491
Bi1 0.399 0.750 0.798
Bi2 0.404 0.084 0.811
Pb1 0.226 0.581 0.456
```

Largest 12 diffraction maxima, by angle, 5° ≤ 2θ ≤ 70°:
two_theta  I/Imax  h k l
23.02  43  0 3 1
31.75  60  2 0 -1
31.96  100  1 3 1
32.15  100  1 3 -2
37.39  35  0 6 0
38.07  14  1 0 2
38.34  13  1 0 -3
41.80  17  0 0 3
49.85  31  2 6 -1
56.58  20  3 3 0
56.93  20  3 3 -3
57.32  12  0 6 3

=====

3.
Structure and computed X-ray diffraction stick pattern of In2Bi3Pb3 (the PBE geometry in Alexandria; Cu Ka).

Atomic structure:
```
data_In2Bi3Pb3
_space_group_name_H-M_alt 'P -1'
_space_group_IT_number 2
_cell_length_a 4.885
_cell_length_b 7.240
_cell_length_c 14.290
_cell_angle_alpha 90.05
_cell_angle_beta 90.01
_cell_angle_gamma 90.56
loop_
_space_group_symop_operation_xyz
'x,y,z'
'-x,-y,-z'
loop_
_atom_site_label
_atom_site_fract_x
_atom_site_fract_y
_atom_site_fract_z
In1 0.012 0.001 0.131
In2 0.012 0.001 0.369
Bi1 0.404 0.747 0.750
Bi2 0.415 0.232 0.503
Bi3 0.415 0.232 0.997
Pb1 0.017 0.505 0.123
Pb2 0.018 0.505 0.377
Pb3 0.470 0.759 0.250
```

Largest 12 diffraction maxima, by angle, 5° ≤ 2θ ≤ 70°:
two_theta  I/Imax  h k l
25.37  16  1 1 2
30.60  55  1 -2 0
30.89  46  1 2 0
31.01  100  1 0 4
35.30  81  0 2 4
36.80  21  2 0 0
50.42  14  0 4 0
51.14  14  0 0 8
51.72  18  2 -2 4
60.21  17  1 -4 4
60.78  16  1 -2 8
60.95  13  1 2 8

=====

4.
Structure and computed X-ray diffraction stick pattern of In2BiPtPb (the PBE geometry in Alexandria; Cu Ka).

Atomic structure:
```
data_In2BiPtPb
_space_group_name_H-M_alt 'P 4/m m m'
_space_group_IT_number 123
_space_group_name_Hall '-P 4 2'
_cell_length_a 5.194
_cell_length_b 5.194
_cell_length_c 5.586
_cell_angle_alpha 90.00
_cell_angle_beta 90.00
_cell_angle_gamma 90.00
loop_
_atom_site_label
_atom_site_fract_x
_atom_site_fract_y
_atom_site_fract_z
In1 0.000 0.500 0.000
Bi1 0.000 0.000 0.500
Pt1 0.500 0.500 0.000
Pb1 0.500 0.500 0.500
```

Largest 12 diffraction maxima, by angle, 5° ≤ 2θ ≤ 70°:
two_theta  I/Imax  h k l
17.07  28  1 0 0
23.39  29  1 0 1
24.23  46  1 1 0
29.10  92  1 1 1
32.05  61  0 0 2
34.54  100  2 0 0
40.58  25  1 1 2
47.83  81  2 0 2
49.65  36  2 2 0
55.32  15  1 1 3
58.58  26  3 1 1
60.32  40  2 2 2

=====

5.
Structure and computed X-ray diffraction stick pattern of Rb2In4Bi3Pb (the PBE geometry in Alexandria; Cu Ka).

Atomic structure:
```
data_Rb2In4Bi3Pb
_space_group_name_H-M_alt 'P -4 m 2'
_space_group_IT_number 115
_cell_length_a 5.184
_cell_length_b 5.184
_cell_length_c 13.908
_cell_angle_alpha 90.00
_cell_angle_beta 90.00
_cell_angle_gamma 90.00
loop_
_space_group_symop_operation_xyz
'x,y,z'
'y,-x,-z'
'-x,-y,z'
'-y,x,-z'
'-x,y,z'
'-y,-x,-z'
'x,-y,z'
'y,x,-z'
loop_
_atom_site_label
_atom_site_fract_x
_atom_site_fract_y
_atom_site_fract_z
Rb1 0.000 0.500 0.246
In1 0.000 0.000 0.500
In2 0.000 0.500 0.865
In3 0.500 0.500 0.500
Bi1 0.000 0.000 0.000
Bi2 0.000 0.500 0.632
Pb1 0.500 0.500 0.000
```

Largest 12 diffraction maxima, by angle, 5° ≤ 2θ ≤ 70°:
two_theta  I/Imax  h k l
12.73  30  0 0 2
18.26  31  1 0 1
25.78  47  1 0 3
27.51  100  1 1 2
34.61  76  2 0 0
35.59  81  1 1 4
36.66  32  1 0 5
49.75  27  2 2 0
51.30  24  2 1 5
57.79  25  3 1 2
62.66  34  3 1 4
64.54  23  2 0 8

=====

6.
Structure and computed X-ray diffraction stick pattern of Tl2In2BiPb (the PBE geometry in Alexandria; Cu Ka).

Atomic structure:
```
data_Tl2In2BiPb
_space_group_name_H-M_alt 'P m c 21'
_space_group_IT_number 26
_cell_length_a 5.044
_cell_length_b 10.430
_cell_length_c 6.950
_cell_angle_alpha 90.00
_cell_angle_beta 90.00
_cell_angle_gamma 90.00
loop_
_space_group_symop_operation_xyz
'x,y,z'
'-x,-y,z+1/2'
'-x,y,z'
'x,-y,z+1/2'
loop_
_atom_site_label
_atom_site_fract_x
_atom_site_fract_y
_atom_site_fract_z
Tl1 0.000 0.005 0.000
Tl2 0.500 0.165 0.745
In1 0.000 0.331 0.500
In2 0.500 0.174 0.250
Bi1 0.000 0.339 0.007
Pb1 0.500 0.499 0.254
```

Largest 12 diffraction maxima, by angle, 5° ≤ 2θ ≤ 70°:
two_theta  I/Imax  h k l
15.32  2  0 1 1
21.30  2  0 2 1
23.40  2  1 1 1
27.75  1  1 2 1
31.25  100  1 0 2
35.60  18  2 0 0
36.56  33  0 3 2
51.95  24  2 3 2
52.66  12  0 0 4
61.24  15  3 0 2
62.52  28  1 3 4
65.19  12  2 0 4